Starting from DFT lattice parameters and positions (GGA-PBE), the X-ray diffraction stick pattern of La11Cd9Ir4 was calculated for copper Kα.
Peak positions follow from Bragg's law for the DFT cell and can differ from measured ones.

Main lines, in order of rising 2θ (10 to 90 degrees two-theta):
two_theta, Rel. int., h k l
30.27, 9, 2 4 1
31.37, 11, 3 3 1
33.06, 100, 4 0 1
33.60, 39, 4 6 0
35.24, 23, 3 5 1
36.23, 10, 1 9 0
36.60, 10, 6 2 0
46.63, 24, 0 0 2
58.69, 15, 4 6 2
69.37, 10, 8 0 2

Structural model:
Lattice parameters (Å, degrees): 15.0916 22.6238 3.8960 90.00 90.00 90.00
Space group Cmmm (No. 65)
Symmetry-distinct sites (fractional):
La1 0.0000 0.0000 0.0000 [2 per cell]
La2 0.0000 0.1608 0.0000 [4 per cell]
La3 0.0000 0.3738 0.0000 [4 per cell]
La4 0.1897 0.5000 0.0000 [4 per cell]
La5 0.2505 0.1672 0.0000 [8 per cell]
Cd1 0.0000 0.5000 0.5000 [2 per cell]
Cd2 0.1023 0.2611 0.5000 [8 per cell]
Cd3 0.1448 0.0701 0.5000 [8 per cell]
Ir1 0.1498 0.3987 0.5000 [8 per cell]